(1)
LiCuPO4: calculated X-ray diffraction stick pattern (λ = 1.5418 Å (Cu Kα)), based on a crystal structure in the Materials Project, relaxed with GGA-PBE.

Most intense lines, 2θ from 15° to 90°, low angle first:
2θ (°)  Rel. int.
15.45  53
20.83  100
20.96  38
22.96  60
29.43  45
30.11  21
31.23  28
36.33  33
36.57  46
40.92  20
52.68  23
63.96  26

Cell lengths 7.748, 8.530, 4.885 Å; angles 90.00, 90.00, 90.00 degrees
Fractional positions:
1 Li 0.012 0.194 0.000
2 Li 0.488 0.694 0.500
3 Li 0.512 0.306 0.000
4 Li 0.988 0.806 0.500
5 Cu 0.158 0.546 0.023
6 Cu 0.342 0.046 0.523
7 Cu 0.658 0.954 0.023
8 Cu 0.842 0.454 0.523
9 P 0.243 0.925 0.055
10 P 0.257 0.425 0.555
11 P 0.743 0.575 0.055
12 P 0.757 0.075 0.555
13 O 0.068 0.408 0.690
14 O 0.139 0.953 0.324
15 O 0.190 0.786 0.881
16 O 0.235 0.080 0.887
17 O 0.265 0.580 0.387
18 O 0.310 0.286 0.381
19 O 0.361 0.453 0.824
20 O 0.432 0.908 0.190
21 O 0.568 0.092 0.690
22 O 0.639 0.547 0.324
23 O 0.690 0.714 0.881
24 O 0.735 0.420 0.887
25 O 0.765 0.920 0.387
26 O 0.810 0.214 0.381
27 O 0.861 0.047 0.824
28 O 0.932 0.592 0.190

=====

(2)
Mn2Cd9N8: calculated X-ray diffraction stick pattern (λ = 1.5418 Å (Cu Kα)), based on a crystal structure in the Materials Project, relaxed with GGA-PBE.

Most intense lines, 2θ from 15° to 90°, low angle first:
2θ (°)  Rel. int.
25.90  16
28.38  25
30.11  16
31.71  21
32.10  66
32.52  100
34.94  41
38.48  37
38.93  59
40.49  24
53.30  23
55.89  23

Cell lengths 9.385, 9.385, 7.426 Å; angles 101.53, 101.53, 28.54 degrees
Fractional positions:
1 Mn 0.207 0.207 0.228
2 Mn 0.793 0.793 0.772
3 Cd 0.042 0.042 0.202
4 Cd 0.202 0.202 0.763
5 Cd 0.340 0.340 0.587
6 Cd 0.398 0.398 0.058
7 Cd 0.500 0.500 0.500
8 Cd 0.602 0.602 0.942
9 Cd 0.660 0.660 0.413
10 Cd 0.798 0.798 0.237
11 Cd 0.958 0.958 0.798
12 N 0.143 0.143 0.012
13 N 0.163 0.163 0.420
14 N 0.306 0.306 0.258
15 N 0.479 0.479 0.770
16 N 0.521 0.521 0.230
17 N 0.694 0.694 0.742
18 N 0.837 0.837 0.580
19 N 0.857 0.857 0.988

=====

(3)
H8PtO6: calculated X-ray diffraction stick pattern (λ = 1.5418 Å (Cu Kα)), based on a crystal structure in the Materials Project, relaxed with GGA-PBE.

Most intense lines, 2θ from 15° to 90°, low angle first:
2θ (°)  Rel. int.
19.38  58
19.85  53
20.25  100
20.72  52
24.06  36
24.24  41
31.28  15
31.65  17
32.27  15
36.53  15
39.94  15
40.16  27

Cell lengths 5.611, 5.722, 7.354 Å; angles 87.24, 88.42, 81.51 degrees
Fractional positions:
1 H 0.000 0.000 0.000
2 H 0.001 0.003 0.312
3 H 0.012 0.428 0.151
4 H 0.148 0.794 0.771
5 H 0.217 0.711 0.316
6 H 0.253 0.216 0.479
7 H 0.288 0.661 0.580
8 H 0.294 0.283 0.140
9 H 0.376 0.754 0.018
10 H 0.525 0.068 0.875
11 H 0.593 0.241 0.298
12 H 0.646 0.659 0.950
13 H 0.658 0.365 0.789
14 H 0.705 0.956 0.597
15 H 0.759 0.618 0.685
16 H 0.909 0.399 0.393
17 Pt 0.137 0.327 0.797
18 Pt 0.650 0.791 0.297
19 O 0.028 0.015 0.865
20 O 0.092 0.251 0.540
21 O 0.177 0.403 0.068
22 O 0.254 0.643 0.725
23 O 0.357 0.653 0.394
24 O 0.473 0.130 0.300
25 O 0.489 0.193 0.779
26 O 0.544 0.784 0.027
27 O 0.767 0.800 0.549
28 O 0.779 0.490 0.800
29 O 0.817 0.451 0.278
30 O 0.965 0.904 0.214

=====

(4)
U2TeSeS2: calculated X-ray diffraction stick pattern (λ = 1.5418 Å (Cu Kα)), based on a crystal structure in the Materials Project, relaxed with GGA-PBE.

Most intense lines, 2θ from 15° to 90°, low angle first:
2θ (°)  Rel. int.
20.69  34
24.73  37
26.30  27
27.51  13
34.94  30
35.47  9
36.38  100
47.80  13
49.73  11
53.26  9
60.57  13
81.47  11

Cell lengths 3.805, 11.099, 6.778 Å; angles 90.00, 90.00, 90.00 degrees
Fractional positions:
1 U 0.000 0.080 0.000
2 U 0.000 0.920 0.500
3 U 0.500 0.405 0.611
4 U 0.500 0.595 0.111
5 Te 0.500 0.291 0.063
6 Te 0.500 0.709 0.563
7 Se 0.000 0.211 0.603
8 Se 0.000 0.789 0.103
9 S 0.000 0.489 0.345
10 S 0.000 0.511 0.845
11 S 0.500 0.019 0.277
12 S 0.500 0.981 0.777

=====

(5)
ThCo2: calculated X-ray diffraction stick pattern (λ = 1.5418 Å (Cu Kα)), based on a crystal structure in the Materials Project, relaxed with GGA-PBE.

Most intense lines, 2θ from 15° to 90°, low angle first:
2θ (°)  Rel. int.
26.80  100
41.67  76
42.27  30
45.98  14
49.73  23
57.38  25
64.21  9
67.26  16
70.04  16
82.13  10
85.33  9
87.72  18

Cell lengths 3.667, 3.667, 7.896 Å; angles 90.00, 90.00, 90.00 degrees
Fractional positions:
1 Th 0.000 0.000 0.000
2 Th 0.500 0.500 0.500
3 Co 0.000 0.500 0.250
4 Co 0.000 0.500 0.750
5 Co 0.500 0.000 0.250
6 Co 0.500 0.000 0.750

=====

(6)
SiO2: calculated X-ray diffraction stick pattern (λ = 1.5418 Å (Cu Kα)), based on a crystal structure in the Materials Project, relaxed with GGA-PBE.

Most intense lines, 2θ from 15° to 90°, low angle first:
2θ (°)  Rel. int.
15.71  100
18.90  29
24.67  26
24.97  81
30.46  45
33.71  23
37.20  20
39.20  15
39.78  30
41.67  15
45.53  19
66.34  16

Cell lengths 11.279, 11.279, 5.164 Å; angles 90.00, 90.00, 90.00 degrees
Fractional positions:
1 Si 0.057 0.631 0.127
2 Si 0.057 0.869 0.373
3 Si 0.131 0.557 0.627
4 Si 0.131 0.943 0.873
5 Si 0.369 0.557 0.873
6 Si 0.369 0.943 0.627
7 Si 0.443 0.631 0.373
8 Si 0.443 0.869 0.127
9 Si 0.557 0.131 0.873
10 Si 0.557 0.369 0.627
11 Si 0.631 0.057 0.373
12 Si 0.631 0.443 0.127
13 Si 0.869 0.057 0.127
14 Si 0.869 0.443 0.373
15 Si 0.943 0.131 0.627
16 Si 0.943 0.369 0.873
17 O 0.000 0.000 0.000
18 O 0.000 0.000 0.500
19 O 0.000 0.500 0.000
20 O 0.000 0.500 0.500
21 O 0.018 0.250 0.750
22 O 0.117 0.659 0.849
23 O 0.117 0.841 0.651
24 O 0.159 0.617 0.349
25 O 0.159 0.883 0.151
26 O 0.250 0.018 0.750
27 O 0.250 0.482 0.750
28 O 0.341 0.617 0.151
29 O 0.341 0.883 0.349
30 O 0.383 0.659 0.651
31 O 0.383 0.841 0.849
32 O 0.482 0.250 0.750
33 O 0.500 0.000 0.000
34 O 0.500 0.000 0.500
35 O 0.500 0.500 0.000
36 O 0.500 0.500 0.500
37 O 0.518 0.750 0.250
38 O 0.617 0.159 0.151
39 O 0.617 0.341 0.349
40 O 0.659 0.117 0.651
41 O 0.659 0.383 0.849
42 O 0.750 0.518 0.250
43 O 0.750 0.982 0.250
44 O 0.841 0.117 0.849
45 O 0.841 0.383 0.651
46 O 0.883 0.159 0.349
47 O 0.883 0.341 0.151
48 O 0.982 0.750 0.250

=====

Copy entry 4 word for word.
U2TeSeS2: calculated X-ray diffraction stick pattern (λ = 1.5418 Å (Cu Kα)), based on a crystal structure in the Materials Project, relaxed with GGA-PBE.

Most intense lines, 2θ from 15° to 90°, low angle first:
2θ (°)  Rel. int.
20.69  34
24.73  37
26.30  27
27.51  13
34.94  30
35.47  9
36.38  100
47.80  13
49.73  11
53.26  9
60.57  13
81.47  11

Cell lengths 3.805, 11.099, 6.778 Å; angles 90.00, 90.00, 90.00 degrees
Fractional positions:
1 U 0.000 0.080 0.000
2 U 0.000 0.920 0.500
3 U 0.500 0.405 0.611
4 U 0.500 0.595 0.111
5 Te 0.500 0.291 0.063
6 Te 0.500 0.709 0.563
7 Se 0.000 0.211 0.603
8 Se 0.000 0.789 0.103
9 S 0.000 0.489 0.345
10 S 0.000 0.511 0.845
11 S 0.500 0.019 0.277
12 S 0.500 0.981 0.777